For Ac2MnNi3P4, the PBE geometry in Alexandria gives the theoretical XRD peak list in this record (Cu Kα).
Lines closer than 0.1° are merged.

Structure:
Unit cell a=4.1944 b=4.1944 c=9.6266 alpha=90.00 beta=90.00 gamma=90.00
Space group P-4m2 (No. 115)
Symmetry-distinct sites (fractional):
Ac 0.0000 0.5000 0.2417
Mn 0.0000 0.0000 0.5000
Ni 0.0000 0.5000 0.8954
Ni 0.5000 0.5000 0.5000
P 0.0000 0.0000 0.0000
P 0.0000 0.5000 0.6299
P 0.5000 0.5000 0.0000

Main lines, most intense first (15° ≤ 2θ ≤ 90°):
- 2θ 35.21, I 1000
- 2θ 35.55, I 964
- 2θ 23.13, I 780
- 2θ 43.13, I 529
- 2θ 56.86, I 504
- 2θ 30.13, I 428
- 2θ 49.51, I 228
- 2θ 74.15, I 227